Entry 1:
This entry pairs a crystal structure of LaNp2O7 with its simulated powder diffractogram. Radiation: Cu Kα, 1.54184 Å. Structure: a GGA-PBE-relaxed structure.
Lines closer than 0.1° are merged.

Largest 12 diffraction maxima, by angle, 10° ≤ 2θ ≤ 80°:
Position (°2θ)	intensity
16.9	30
25.5	54
26.8	43
27.3	100
30.3	47
33.4	65
35.3	22
47.1	57
48.9	40
54.2	25
54.3	42
59.0	15

Cell and atoms:
Cell lengths 10.705, 10.705, 10.705 Å; angles 20.77, 20.77, 20.77 degrees
Positions (direct):
1 La 0.000 0.000 0.000
2 Np 0.434 0.434 0.434
3 Np 0.566 0.566 0.566
4 O 0.081 0.081 0.081
5 O 0.219 0.219 0.219
6 O 0.366 0.366 0.366
7 O 0.500 0.500 0.500
8 O 0.634 0.634 0.634
9 O 0.781 0.781 0.781
10 O 0.919 0.919 0.919

=====

Entry 2:
This entry pairs a crystal structure of La5Np2O12 with its simulated powder diffractogram. Radiation: Cu Kα, 1.54184 Å. Structure: a GGA-PBE-relaxed structure.
Lines closer than 0.1° are merged.

Largest 12 diffraction maxima, by angle, 10° ≤ 2θ ≤ 80°:
Position (°2θ)	intensity
11.7	35
15.4	31
23.6	36
25.3	59
26.4	63
28.3	29
30.0	52
31.1	100
31.7	26
36.6	44
48.0	28
51.4	51

Cell and atoms:
Cell lengths 7.357, 7.357, 7.903 Å; angles 105.60, 105.60, 52.22 degrees
Positions (direct):
1 La 0.000 0.000 0.000
2 La 0.300 0.300 0.134
3 La 0.305 0.305 0.675
4 La 0.695 0.695 0.325
5 La 0.700 0.700 0.866
6 Np 0.243 0.757 0.500
7 Np 0.757 0.243 0.500
8 O 0.001 0.001 0.697
9 O 0.093 0.592 0.923
10 O 0.100 0.568 0.416
11 O 0.408 0.907 0.077
12 O 0.432 0.900 0.584
13 O 0.498 0.498 0.685
14 O 0.502 0.502 0.315
15 O 0.568 0.100 0.416
16 O 0.592 0.093 0.923
17 O 0.900 0.432 0.584
18 O 0.907 0.408 0.077
19 O 0.999 0.999 0.303

=====

Entry 3:
This entry pairs a crystal structure of La2NpO6 with its simulated powder diffractogram. Radiation: Cu Kα, 1.54184 Å. Structure: a GGA-PBE-relaxed structure.
Lines closer than 0.1° are merged.

Largest 12 diffraction maxima, by angle, 10° ≤ 2θ ≤ 80°:
Position (°2θ)	intensity
17.4	22
17.7	79
28.3	100
29.8	21
30.3	18
31.8	24
34.9	22
43.0	22
44.5	28
51.9	21
52.6	21
59.4	14

Cell and atoms:
Cell lengths 5.998, 5.891, 11.293 Å; angles 90.00, 122.02, 90.00 degrees
Positions (direct):
1 La 0.210 0.001 0.210
2 La 0.210 0.499 0.710
3 La 0.790 0.501 0.290
4 La 0.790 0.999 0.790
5 Np 0.500 0.000 0.000
6 Np 0.500 0.500 0.500
7 O 0.192 0.698 0.342
8 O 0.192 0.802 0.842
9 O 0.206 0.163 0.000
10 O 0.206 0.337 0.500
11 O 0.491 0.197 0.841
12 O 0.491 0.303 0.341
13 O 0.509 0.697 0.659
14 O 0.509 0.803 0.159
15 O 0.794 0.663 0.500
16 O 0.794 0.837 0.000
17 O 0.808 0.198 0.158
18 O 0.808 0.302 0.658

=====

Entry 4:
This entry pairs a crystal structure of LaNp4O12 with its simulated powder diffractogram. Radiation: Cu Kα, 1.54184 Å. Structure: a GGA-PBE-relaxed structure.
Lines closer than 0.1° are merged.

Largest 12 diffraction maxima, by angle, 10° ≤ 2θ ≤ 80°:
Position (°2θ)	intensity
21.1	89
21.6	40
30.1	50
30.4	100
37.3	23
43.1	30
48.5	20
48.7	20
49.3	19
53.6	45
54.2	24
63.3	17

Cell and atoms:
Cell lengths 7.227, 7.227, 7.227 Å; angles 108.92, 108.92, 110.58 degrees
Positions (direct):
1 La 0.000 0.000 0.000
2 Np 0.000 0.000 0.500
3 Np 0.000 0.500 0.000
4 Np 0.500 0.000 0.000
5 Np 0.500 0.500 0.500
6 O 0.036 0.801 0.235
7 O 0.199 0.435 0.235
8 O 0.199 0.964 0.765
9 O 0.278 0.278 0.556
10 O 0.278 0.722 0.000
11 O 0.435 0.199 0.235
12 O 0.565 0.801 0.765
13 O 0.722 0.278 0.000
14 O 0.722 0.722 0.444
15 O 0.801 0.036 0.235
16 O 0.801 0.565 0.765
17 O 0.964 0.199 0.765

=====

Entry 5:
This entry pairs a crystal structure of La5NpS6 with its simulated powder diffractogram. Radiation: Cu Kα, 1.54184 Å. Structure: a GGA-PBE-relaxed structure.
Lines closer than 0.1° are merged.

Largest 12 diffraction maxima, by angle, 10° ≤ 2θ ≤ 80°:
Position (°2θ)	intensity
26.5	78
30.7	100
43.9	73
52.0	3
52.0	36
54.5	19
54.6	6
63.9	12
70.4	9
70.5	7
72.5	16
72.6	16

Cell and atoms:
Cell lengths 7.137, 7.137, 7.146 Å; angles 99.61, 99.61, 120.05 degrees
Positions (direct):
1 La 0.000 0.000 0.000
2 La 0.166 0.834 0.500
3 La 0.330 0.670 0.000
4 La 0.670 0.330 0.000
5 La 0.834 0.166 0.500
6 Np 0.500 0.500 0.500
7 S 0.095 0.419 0.257
8 S 0.258 0.258 0.747
9 S 0.419 0.095 0.257
10 S 0.581 0.905 0.743
11 S 0.742 0.742 0.253
12 S 0.905 0.581 0.743

=====

Entry 6:
This entry pairs a crystal structure of La2NpS5 with its simulated powder diffractogram. Radiation: Cu Kα, 1.54184 Å. Structure: a GGA-PBE-relaxed structure.
Lines closer than 0.1° are merged.

Largest 12 diffraction maxima, by angle, 10° ≤ 2θ ≤ 80°:
Position (°2θ)	intensity
13.8	21
23.5	49
25.2	100
25.7	90
26.3	61
35.5	72
37.1	35
40.3	20
44.0	27
45.4	58
51.4	31
70.2	24

Cell and atoms:
Cell lengths 11.991, 8.225, 7.572 Å; angles 90.00, 90.00, 90.00 degrees
Positions (direct):
1 La 0.175 0.001 0.032
2 La 0.175 0.499 0.032
3 La 0.325 0.501 0.532
4 La 0.325 0.999 0.532
5 La 0.675 0.001 0.468
6 La 0.675 0.499 0.468
7 La 0.825 0.501 0.968
8 La 0.825 0.999 0.968
9 Np 0.005 0.250 0.559
10 Np 0.495 0.750 0.059
11 Np 0.505 0.250 0.941
12 Np 0.995 0.750 0.441
13 S 0.002 0.250 0.950
14 S 0.091 0.536 0.665
15 S 0.091 0.964 0.665
16 S 0.189 0.250 0.338
17 S 0.212 0.750 0.315
18 S 0.288 0.250 0.815
19 S 0.311 0.750 0.838
20 S 0.409 0.036 0.165
21 S 0.409 0.464 0.165
22 S 0.498 0.750 0.450
23 S 0.502 0.250 0.550
24 S 0.591 0.536 0.835
25 S 0.591 0.964 0.835
26 S 0.689 0.250 0.162
27 S 0.712 0.750 0.185
28 S 0.788 0.250 0.685
29 S 0.811 0.750 0.662
30 S 0.909 0.036 0.335
31 S 0.909 0.464 0.335
32 S 0.998 0.750 0.050

=====

Entry 7:
This entry pairs a crystal structure of La2Np3S8 with its simulated powder diffractogram. Radiation: Cu Kα, 1.54184 Å. Structure: a GGA-PBE-relaxed structure.
Lines closer than 0.1° are merged.

Largest 12 diffraction maxima, by angle, 10° ≤ 2θ ≤ 80°:
Position (°2θ)	intensity
12.8	47
21.9	19
22.7	30
22.8	32
25.9	21
26.5	40
28.6	20
29.6	20
37.4	100
37.7	24
38.0	26
68.2	17

Cell and atoms:
Cell lengths 8.384, 8.384, 4.739 Å; angles 90.00, 90.00, 110.56 degrees
Positions (direct):
1 La 0.231 0.769 0.000
2 La 0.769 0.231 0.000
3 Np 0.231 0.231 0.500
4 Np 0.500 0.500 0.000
5 Np 0.769 0.769 0.500
6 S 0.119 0.881 0.500
7 S 0.145 0.380 0.000
8 S 0.380 0.145 0.000
9 S 0.387 0.613 0.500
10 S 0.613 0.387 0.500
11 S 0.620 0.855 0.000
12 S 0.855 0.620 0.000
13 S 0.881 0.119 0.500

=====

Entry 8:
This entry pairs a crystal structure of LaNpSeS2 with its simulated powder diffractogram. Radiation: Cu Kα, 1.54184 Å. Structure: a GGA-PBE-relaxed structure.
Lines closer than 0.1° are merged.

Largest 12 diffraction maxima, by angle, 10° ≤ 2θ ≤ 80°:
Position (°2θ)	intensity
22.1	100
23.6	58
29.3	28
30.9	25
32.1	39
34.5	29
35.5	55
42.2	38
45.7	20
46.1	28
51.5	22
67.1	19

Cell and atoms:
Cell lengths 6.690, 6.690, 10.389 Å; angles 90.00, 90.00, 145.63 degrees
Positions (direct):
1 La 0.236 0.764 0.750
2 La 0.764 0.236 0.250
3 Np 0.000 0.000 0.000
4 Np 0.000 0.000 0.500
5 Se 0.088 0.912 0.250
6 Se 0.912 0.088 0.750
7 S 0.363 0.637 0.074
8 S 0.363 0.637 0.426
9 S 0.637 0.363 0.574
10 S 0.637 0.363 0.926

=====

Entry 9:
This entry pairs a crystal structure of La2Np2Se7 with its simulated powder diffractogram. Radiation: Cu Kα, 1.54184 Å. Structure: a GGA-PBE-relaxed structure.
Lines closer than 0.1° are merged.

Largest 12 diffraction maxima, by angle, 10° ≤ 2θ ≤ 80°:
Position (°2θ)	intensity
12.7	18
21.4	60
23.1	92
34.6	37
36.7	100
39.0	28
42.0	35
44.9	17
53.1	21
63.4	17
69.2	19
78.0	14

Cell and atoms:
Cell lengths 6.942, 6.942, 6.961 Å; angles 90.00, 90.00, 96.68 degrees
Positions (direct):
1 La 0.239 0.239 0.000
2 La 0.761 0.761 0.000
3 Np 0.232 0.768 0.500
4 Np 0.768 0.232 0.500
5 Se 0.000 0.000 0.266
6 Se 0.000 0.000 0.734
7 Se 0.000 0.500 0.246
8 Se 0.000 0.500 0.754
9 Se 0.500 0.000 0.246
10 Se 0.500 0.000 0.754
11 Se 0.500 0.500 0.500

=====

Entry 10:
This entry pairs a crystal structure of La2NpTe4 with its simulated powder diffractogram. Radiation: Cu Kα, 1.54184 Å. Structure: a GGA-PBE-relaxed structure.
Lines closer than 0.1° are merged.

Largest 12 diffraction maxima, by angle, 10° ≤ 2θ ≤ 80°:
Position (°2θ)	intensity
13.1	21
21.0	64
26.1	56
27.5	84
29.4	100
35.9	21
36.2	58
38.0	39
40.0	42
40.9	37
49.2	20
58.6	29

Cell and atoms:
Cell lengths 7.853, 7.853, 15.282 Å; angles 90.00, 90.00, 147.36 degrees
Positions (direct):
1 La 0.134 0.866 0.570
2 La 0.134 0.866 0.930
3 La 0.866 0.134 0.070
4 La 0.866 0.134 0.430
5 Np 0.376 0.624 0.750
6 Np 0.624 0.376 0.250
7 Te 0.027 0.973 0.750
8 Te 0.221 0.779 0.127
9 Te 0.221 0.779 0.373
10 Te 0.500 0.500 0.000
11 Te 0.500 0.500 0.500
12 Te 0.779 0.221 0.627
13 Te 0.779 0.221 0.873
14 Te 0.973 0.027 0.250

=====

Entry 11:
This entry pairs a crystal structure of La2O3 with its simulated powder diffractogram. Radiation: Cu Kα, 1.54184 Å. Structure: a GGA-PBE-relaxed structure.
Lines closer than 0.1° are merged.

Largest 12 diffraction maxima, by angle, 10° ≤ 2θ ≤ 80°:
Position (°2θ)	intensity
19.1	9
27.1	100
31.4	33
33.4	5
40.4	7
45.0	43
53.3	35
54.6	6
55.9	7
65.5	5
72.3	10
74.5	7

Cell and atoms:
Cell lengths 9.871, 9.871, 9.871 Å; angles 109.47, 109.47, 109.47 degrees
Positions (direct):
1 La 0.000 0.000 0.500
2 La 0.000 0.500 0.000
3 La 0.029 0.750 0.779
4 La 0.221 0.971 0.250
5 La 0.250 0.221 0.971
6 La 0.250 0.721 0.471
7 La 0.279 0.529 0.750
8 La 0.471 0.250 0.721
9 La 0.500 0.000 0.000
10 La 0.500 0.500 0.500
11 La 0.529 0.750 0.279
12 La 0.721 0.471 0.250
13 La 0.750 0.279 0.529
14 La 0.750 0.779 0.029
15 La 0.779 0.029 0.750
16 La 0.971 0.250 0.221
17 O 0.011 0.037 0.269
18 O 0.027 0.489 0.759
19 O 0.037 0.269 0.011
20 O 0.231 0.268 0.741
21 O 0.232 0.463 0.473
22 O 0.241 0.973 0.511
23 O 0.259 0.769 0.732
24 O 0.268 0.741 0.231
25 O 0.269 0.011 0.037
26 O 0.463 0.473 0.232
27 O 0.473 0.232 0.463
28 O 0.489 0.759 0.027
29 O 0.511 0.241 0.973
30 O 0.527 0.768 0.537
31 O 0.537 0.527 0.768
32 O 0.731 0.989 0.963
33 O 0.732 0.259 0.769
34 O 0.741 0.231 0.268
35 O 0.759 0.027 0.489
36 O 0.768 0.537 0.527
37 O 0.769 0.732 0.259
38 O 0.963 0.731 0.989
39 O 0.973 0.511 0.241
40 O 0.989 0.963 0.731